Structure and calculated X-ray diffraction stick pattern of In3HgIr (a structure optimized by DFT (PBE); CuKα).
Kinematic intensities with the Lorentz-polarization factor, no thermal factor.

Structure:
Unit cell a=5.2011 b=7.1603 c=6.7293 alpha=90.00 beta=104.11 gamma=90.00
Space group P2_1/m (No. 11)
Unique sites:
In (0.0102, 0.0130, 0.2890) [4 per cell]
In (0.4084, 0.2500, 0.0611) [2 per cell]
Hg (0.4807, 0.2500, 0.5803) [2 per cell]
Ir (0.1267, 0.7500, 0.0333) [2 per cell]

Principal peaks in the range 15° ≤ 2θ ≤ 90°, by angle:
- 19.44 deg, I 34
- 24.86 deg, I 37
- 30.62 deg, I 83
- 31.76 deg, I 41
- 35.60 deg, I 39
- 37.28 deg, I 100
- 37.82 deg, I 35
- 38.41 deg, I 60
- 41.52 deg, I 64
- 51.02 deg, I 33